No. 1
The following is a computed X-ray diffraction stick pattern of Ti7Bi. It was derived from the PBE geometry in Alexandria, using λ = 1.5418 Å (Cu Kα).
No peak broadening, texture or thermal motion is included.

Largest 10 diffraction maxima, in order of rising 2θ, 10 to 90 degrees two-theta:
d/Å  I (rel.)
8.715  30.9
3.983  31.8
3.345  20.1
2.746  16.3
2.653  12.3
2.410  100.0
2.179  17.5
2.046  33.0
1.492  25.1
1.240  22.0

Crystal structure
Unit cell a=4.091 b=4.091 c=17.430 alpha=90.00 beta=90.00 gamma=90.00
Space group I4/mmm (No. 139)
Inequivalent atoms, fractional coordinates:
Ti  0.000  0.000  0.000
Ti  0.000  0.000  0.251
Ti  0.000  0.500  0.134
Bi  0.000  0.000  0.500



No. 2
The following is a computed X-ray diffraction stick pattern of TiTeAs2. It was derived from the PBE geometry in Alexandria, using λ = 1.5418 Å (Cu Kα).
No peak broadening, texture or thermal motion is included.

Largest 10 diffraction maxima, in order of rising 2θ, 10 to 90 degrees two-theta:
d/Å  I (rel.)
3.555  100.0
3.470  11.7
2.655  16.0
2.193  48.9
2.146  20.3
1.897  16.6
1.837  24.7
1.421  10.3
1.275  7.2
1.248  9.5

Crystal structure
Unit cell a=6.070 b=6.070 c=12.686 alpha=90.00 beta=90.00 gamma=90.00
Space group I-42d (No. 122)
Inequivalent atoms, fractional coordinates:
Ti  0.000  0.000  0.000
Te  0.000  0.000  0.500
As  0.195  0.250  0.125



No. 3
The following is a computed X-ray diffraction stick pattern of Cs6K23Li. It was derived from the PBE geometry in Alexandria, using λ = 1.5418 Å (Cu Kα).
No peak broadening, texture or thermal motion is included.

Largest 10 diffraction maxima, in order of rising 2θ, 10 to 90 degrees two-theta:
d/Å  I (rel.)
6.157  20.0
4.893  23.3
4.353  32.8
4.104  100.0
3.770  82.8
3.555  19.5
2.777  20.7
2.513  34.3
2.143  22.9
2.062  22.3

Crystal structure
Unit cell a=21.327 b=21.327 c=21.327 alpha=90.00 beta=90.00 gamma=90.00
Space group Fm-3m (No. 225)
Inequivalent atoms, fractional coordinates:
Cs  0.000  0.000  0.201
K  0.000  0.000  0.500
K  0.000  0.250  0.250
K  0.119  0.119  0.381
K  0.170  0.170  0.170
Li  0.000  0.000  0.000